No. 1
Starting from the GGA-PBE geometry in Alexandria, the powder X-ray diffraction pattern of Er4OsBr4 was calculated for CuKα.

Largest 12 diffraction maxima, sorted by position, 2θ = 15–90°:
2theta	I (rel.)
27.43	39
31.06	24
33.98	28
34.44	57
34.76	100
34.92	42
35.81	51
38.99	23
39.22	21
40.00	18
45.32	19
45.81	20

Crystal structure
Cell lengths 8.9045, 8.9045, 6.5034 Å; angles 90.57, 90.57, 89.27 degrees
Fractional positions:
Er  0.0968  0.2470  0.0090
Er  0.0987  0.7518  0.5098
Er  0.2470  0.0968  0.5090
Er  0.2482  0.9013  0.9902
Er  0.7518  0.0987  0.0098
Er  0.7530  0.9032  0.4910
Er  0.9013  0.2482  0.4902
Er  0.9032  0.7530  0.9910
Os  0.0048  0.9952  0.2500
Os  0.9952  0.0048  0.7500
Br  0.1835  0.5810  0.9107
Br  0.1896  0.4141  0.4083
Br  0.4141  0.1896  0.9083
Br  0.4190  0.8165  0.5893
Br  0.5810  0.1835  0.4107
Br  0.5859  0.8104  0.0917
Br  0.8104  0.5859  0.5917
Br  0.8165  0.4190  0.0893


No. 2
Starting from the GGA-PBE geometry in Alexandria, the powder X-ray diffraction pattern of Ce5ReN8 was calculated for CuKα.

Largest 12 diffraction maxima, sorted by position, 2θ = 15–90°:
2theta	I (rel.)
28.65	63
29.34	100
34.27	10
36.82	25
38.28	29
38.46	16
44.46	11
45.25	18
53.33	19
55.53	11
57.31	21
64.04	14

Crystal structure
Cell lengths 6.5141, 6.5141, 6.5141 Å; angles 110.77, 110.77, 106.91 degrees
Fractional positions:
Ce  0.0000  0.0000  0.0000
Ce  0.2422  0.6507  0.1221
Ce  0.3493  0.4714  0.5915
Ce  0.5286  0.1201  0.8779
Ce  0.8799  0.7578  0.4085
Re  0.7500  0.2500  0.5000
N  0.0414  0.3865  0.2147
N  0.0732  0.2940  0.7156
N  0.1718  0.8268  0.7853
N  0.1732  0.9586  0.3450
N  0.5783  0.3576  0.2844
N  0.6135  0.8282  0.6550
N  0.6424  0.9268  0.2208
N  0.7060  0.4217  0.7792